# 1
Calculated XRD peak list
Compound: Tm4PuSc5
Radiation: Cu Kα X-rays
Structure: a DFT-relaxed cell (GGA-PBE, Alexandria)

Principal peaks in the range 2θ = 10–80°, low angle first:
18.5 deg, d 4.793, I 23.3, hkl 1 0 1
25.7 deg, d 3.466, I 71.5, hkl 2 1 1
28.1 deg, d 3.173, I 30.0, hkl 3 1 0
31.4 deg, d 2.852, I 100.0, hkl 3 0 1
35.2 deg, d 2.546, I 28.6, hkl 1 1 2
38.0 deg, d 2.365, I 51.3, hkl 3 3 0
41.8 deg, d 2.162, I 26.9, hkl 2 2 2
57.7 deg, d 1.597, I 43.3, hkl 3 0 3

Crystal structure
```
data_Tm4PuSc5
_chemical_formula_sum 'Tm8 Pu2 Sc10'
_space_group_name_H-M_alt 'I 4 m m'
_space_group_IT_number 107
_space_group_name_Hall 'I 4 -2'
_cell_length_a 10.0347
_cell_length_b 10.0347
_cell_length_c 5.4556
_cell_angle_alpha 90.00
_cell_angle_beta 90.00
_cell_angle_gamma 90.00
loop_
_atom_site_label
_atom_site_fract_x
_atom_site_fract_y
_atom_site_fract_z
Tm1 0.0000 0.3174 0.0000
Pu1 0.0000 0.0000 0.7222
Sc1 0.0000 0.0000 0.1960
Sc2 0.1843 0.1843 0.5043
```

---

# 2
Calculated XRD peak list
Compound: SmPaCS2
Radiation: Cu Kα X-rays
Structure: a DFT-relaxed cell (GGA-PBE, Alexandria)

Principal peaks in the range 2θ = 10–80°, low angle first:
25.2 deg, d 3.536, I 26.2, hkl 0 0 4
26.1 deg, d 3.418, I 100.0, hkl 1 0 2
29.7 deg, d 3.007, I 21.5, hkl 1 0 3
32.4 deg, d 2.761, I 61.8, hkl 1 1 0
34.2 deg, d 2.621, I 24.4, hkl 1 0 4
41.5 deg, d 2.176, I 32.3, hkl 1 1 4
46.5 deg, d 1.952, I 24.7, hkl 2 0 0
54.1 deg, d 1.695, I 29.0, hkl 2 1 2

Crystal structure
```
data_SmPaCS2
_chemical_formula_sum 'Sm2 Pa2 C2 S4'
_space_group_name_H-M_alt 'P 4/n m m'
_space_group_IT_number 129
_cell_length_a 3.9046
_cell_length_b 3.9046
_cell_length_c 14.1429
_cell_angle_alpha 90.00
_cell_angle_beta 90.00
_cell_angle_gamma 90.00
loop_
_space_group_symop_operation_xyz
'x,y,z'
'-x,-y,-z'
'-y+1/2,x,z'
'y+1/2,-x,-z'
'-x+1/2,-y+1/2,z'
'x+1/2,y+1/2,-z'
'y,-x+1/2,z'
'-y,x+1/2,-z'
'x+1/2,-y,-z'
'-x+1/2,y,z'
'-y,-x,-z'
'y,x,z'
'-x,y+1/2,-z'
'x,-y+1/2,z'
'y+1/2,x+1/2,-z'
'-y+1/2,-x+1/2,z'
loop_
_atom_site_label
_atom_site_fract_x
_atom_site_fract_y
_atom_site_fract_z
Sm1 0.2500 0.2500 0.1218
Pa1 0.2500 0.2500 0.5868
C1 0.2500 0.7500 0.5000
S1 0.2500 0.2500 0.3098
S2 0.2500 0.2500 0.9081
```

---

# 3
Calculated XRD peak list
Compound: BiIrRh
Radiation: Cu Kα X-rays
Structure: a DFT-relaxed cell (GGA-PBE, Alexandria)

Principal peaks in the range 2θ = 10–80°, low angle first:
32.9 deg, d 2.721, I 30.1, hkl 0 1 1
38.9 deg, d 2.313, I 100.0, hkl 3 0 2
41.1 deg, d 2.196, I 16.6, hkl 6 0 0
53.6 deg, d 1.709, I 13.9, hkl 6 1 1
58.8 deg, d 1.571, I 20.8, hkl 0 2 0
72.8 deg, d 1.299, I 16.4, hkl 3 2 2
73.5 deg, d 1.289, I 11.6, hkl 9 0 2
74.2 deg, d 1.278, I 17.9, hkl 6 2 0

Crystal structure
```
data_BiIrRh
_chemical_formula_sum 'Bi4 Ir4 Rh4'
_space_group_name_H-M_alt 'A m m 2'
_space_group_IT_number 38
_space_group_name_Hall 'A 2 -2'
_cell_length_a 13.1741
_cell_length_b 3.1413
_cell_length_c 5.4417
_cell_angle_alpha 90.00
_cell_angle_beta 90.00
_cell_angle_gamma 90.00
loop_
_atom_site_label
_atom_site_fract_x
_atom_site_fract_y
_atom_site_fract_z
Bi1 0.1760 0.0000 0.0000
Ir1 0.0000 0.0000 0.6678
Ir2 0.5000 0.0000 0.9982
Rh1 0.3530 0.0000 0.6649
```

---

# 4
Calculated XRD peak list
Compound: Pr8TmSc2
Radiation: Cu Kα X-rays
Structure: a DFT-relaxed cell (GGA-PBE, Alexandria)

Principal peaks in the range 2θ = 10–80°, low angle first:
28.2 deg, d 3.168, I 33.7, hkl 0 4 1
30.0 deg, d 2.979, I 61.2, hkl 3 1 -1
30.5 deg, d 2.931, I 40.5, hkl 2 0 -2
31.5 deg, d 2.843, I 100.0, hkl 1 5 -1
31.9 deg, d 2.807, I 53.2, hkl 2 4 0
35.7 deg, d 2.513, I 25.2, hkl 2 0 1
51.7 deg, d 1.768, I 23.2, hkl 1 5 2
59.6 deg, d 1.551, I 23.8, hkl 3 9 -1

Crystal structure
```
data_Pr8TmSc2
_chemical_formula_sum 'Pr16 Tm2 Sc4'
_space_group_name_H-M_alt 'C 1 2/m 1'
_space_group_IT_number 12
_space_group_name_Hall '-C 2y'
_cell_length_a 9.0922
_cell_length_b 16.2549
_cell_length_c 5.9240
_cell_angle_alpha 90.00
_cell_angle_beta 121.35
_cell_angle_gamma 90.00
loop_
_atom_site_label
_atom_site_fract_x
_atom_site_fract_y
_atom_site_fract_z
Pr1 0.0000 0.2086 0.0000
Pr2 0.0828 0.5000 0.7952
Pr3 0.2148 0.1192 0.6696
Tm1 0.0000 0.0000 0.0000
Sc1 0.0000 0.3098 0.5000
```

---

Please write out number 2 again, unchanged.
Calculated XRD peak list
Compound: SmPaCS2
Radiation: Cu Kα X-rays
Structure: a DFT-relaxed cell (GGA-PBE, Alexandria)

Principal peaks in the range 2θ = 10–80°, low angle first:
25.2 deg, d 3.536, I 26.2, hkl 0 0 4
26.1 deg, d 3.418, I 100.0, hkl 1 0 2
29.7 deg, d 3.007, I 21.5, hkl 1 0 3
32.4 deg, d 2.761, I 61.8, hkl 1 1 0
34.2 deg, d 2.621, I 24.4, hkl 1 0 4
41.5 deg, d 2.176, I 32.3, hkl 1 1 4
46.5 deg, d 1.952, I 24.7, hkl 2 0 0
54.1 deg, d 1.695, I 29.0, hkl 2 1 2

Crystal structure
```
data_SmPaCS2
_chemical_formula_sum 'Sm2 Pa2 C2 S4'
_space_group_name_H-M_alt 'P 4/n m m'
_space_group_IT_number 129
_cell_length_a 3.9046
_cell_length_b 3.9046
_cell_length_c 14.1429
_cell_angle_alpha 90.00
_cell_angle_beta 90.00
_cell_angle_gamma 90.00
loop_
_space_group_symop_operation_xyz
'x,y,z'
'-x,-y,-z'
'-y+1/2,x,z'
'y+1/2,-x,-z'
'-x+1/2,-y+1/2,z'
'x+1/2,y+1/2,-z'
'y,-x+1/2,z'
'-y,x+1/2,-z'
'x+1/2,-y,-z'
'-x+1/2,y,z'
'-y,-x,-z'
'y,x,z'
'-x,y+1/2,-z'
'x,-y+1/2,z'
'y+1/2,x+1/2,-z'
'-y+1/2,-x+1/2,z'
loop_
_atom_site_label
_atom_site_fract_x
_atom_site_fract_y
_atom_site_fract_z
Sm1 0.2500 0.2500 0.1218
Pa1 0.2500 0.2500 0.5868
C1 0.2500 0.7500 0.5000
S1 0.2500 0.2500 0.3098
S2 0.2500 0.2500 0.9081
```